(1)
Starting from the GGA-PBE geometry in Alexandria, the powder diffractogram of CsCo2H8 was simulated for CuKα.
Neutral-atom scattering factors, no anomalous dispersion.

Crystal structure
```
data_CsCo2H8
_cell_length_a 4.8100
_cell_length_b 7.7068
_cell_length_c 5.8862
_cell_angle_alpha 90.00
_cell_angle_beta 90.00
_cell_angle_gamma 90.00
_symmetry_space_group_name_H-M 'C m m 2'
_symmetry_Int_Tables_number 35
loop_
_symmetry_equiv_pos_as_xyz
'x,y,z'
'-x,-y,z'
'-x,y,z'
'x,-y,z'
'x+1/2,y+1/2,z'
'-x+1/2,-y+1/2,z'
'-x+1/2,y+1/2,z'
'x+1/2,-y+1/2,z'
loop_
_atom_site_label
_atom_site_type_symbol
_atom_site_fract_x
_atom_site_fract_y
_atom_site_fract_z
Cs1 Cs 0.0000 0.0000 0.0000
Co1 Co 0.0000 0.3296 0.4971
H1 H 0.0000 0.3113 0.2469
H2 H 0.0000 0.5000 0.3355
H3 H 0.0000 0.5000 0.6754
H4 H 0.1624 0.1470 0.5167
```

Principal peaks in the range 10 to 90 degrees two-theta, sorted by position:
index	d [Å]	intensity
1 1 1	3.353	100
0 2 1	3.224	49
0 0 2	2.943	32
2 0 0	2.405	18
1 3 0	2.266	29
2 2 1	1.928	22
2 0 2	1.862	16
1 3 2	1.795	28
1 1 3	1.768	15
3 3 2	1.234	16

(2)
Starting from the GGA-PBE geometry in Alexandria, the powder diffractogram of Ta3IrRu3 was simulated for CuKα.
Neutral-atom scattering factors, no anomalous dispersion.

Crystal structure
```
data_Ta3IrRu3
_cell_length_a 7.7343
_cell_length_b 7.7343
_cell_length_c 7.7343
_cell_angle_alpha 90.00
_cell_angle_beta 90.00
_cell_angle_gamma 90.00
_symmetry_space_group_name_H-M 'P 21 3'
_symmetry_Int_Tables_number 198
_symmetry_space_group_name_Hall 'P 2ac 2ab 3'
loop_
_atom_site_label
_atom_site_type_symbol
_atom_site_fract_x
_atom_site_fract_y
_atom_site_fract_z
Ta1 Ta 0.0453 0.3051 0.8734
Ir1 Ir 0.1329 0.6329 0.8671
Ru1 Ru 0.0382 0.4618 0.5382
Ru2 Ru 0.1534 0.8466 0.3466
Ru3 Ru 0.1702 0.1702 0.1702
```

Principal peaks in the range 10 to 90 degrees two-theta, sorted by position:
index	d [Å]	intensity
2 1 1	3.158	35
2 2 1	2.578	16
3 1 0	2.446	80
3 1 1	2.332	57
3 2 0	2.145	81
3 1 2	2.067	100
3 2 2	1.876	27
4 4 1	1.346	16
6 1 0	1.272	20
5 2 3	1.255	30

(3)
Starting from the GGA-PBE geometry in Alexandria, the powder diffractogram of Sm3Cd3In was simulated for CuKα.
Neutral-atom scattering factors, no anomalous dispersion.

Crystal structure
```
data_Sm3Cd3In
_cell_length_a 3.6363
_cell_length_b 4.9351
_cell_length_c 21.2677
_cell_angle_alpha 90.00
_cell_angle_beta 90.00
_cell_angle_gamma 90.00
_symmetry_space_group_name_H-M 'I m m 2'
_symmetry_Int_Tables_number 44
loop_
_symmetry_equiv_pos_as_xyz
'x,y,z'
'-x,-y,z'
'-x,y,z'
'x,-y,z'
'x+1/2,y+1/2,z+1/2'
'-x+1/2,-y+1/2,z+1/2'
'-x+1/2,y+1/2,z+1/2'
'x+1/2,-y+1/2,z+1/2'
loop_
_atom_site_label
_atom_site_type_symbol
_atom_site_fract_x
_atom_site_fract_y
_atom_site_fract_z
Sm1 Sm 0.0000 0.0000 0.0000
Sm2 Sm 0.0000 0.0000 0.3989
Sm3 Sm 0.0000 0.5000 0.1998
Cd1 Cd 0.0000 0.0000 0.5571
Cd2 Cd 0.0000 0.0000 0.8431
Cd3 Cd 0.0000 0.5000 0.6304
In1 In 0.0000 0.5000 0.7663
```

Principal peaks in the range 10 to 90 degrees two-theta, sorted by position:
index	d [Å]	intensity
1 1 2	2.822	100
1 0 5	2.764	52
0 1 7	2.587	80
0 2 0	2.468	40
1 2 5	1.841	31
2 0 0	1.818	16
2 1 7	1.488	28
1 3 2	1.484	14
2 2 0	1.464	15
0 3 7	1.447	13

(4)
Starting from the GGA-PBE geometry in Alexandria, the powder diffractogram of Tl2AgRhO6 was simulated for CuKα.
Neutral-atom scattering factors, no anomalous dispersion.

Crystal structure
```
data_Tl2AgRhO6
_cell_length_a 5.6993
_cell_length_b 5.6993
_cell_length_c 14.4516
_cell_angle_alpha 90.00
_cell_angle_beta 90.00
_cell_angle_gamma 120.00
_symmetry_space_group_name_H-M 'R 3'
_symmetry_Int_Tables_number 146
_symmetry_space_group_name_Hall 'R 3'
loop_
_atom_site_label
_atom_site_type_symbol
_atom_site_fract_x
_atom_site_fract_y
_atom_site_fract_z
Tl1 Tl 0.0000 0.0000 0.0000
Tl2 Tl 0.0000 0.0000 0.4879
Ag1 Ag 0.0000 0.0000 0.2624
Rh1 Rh 0.0000 0.0000 0.7784
O1 O 0.0080 0.7333 0.8680
O2 O 0.0540 0.3429 0.3769
```

Principal peaks in the range 10 to 90 degrees two-theta, sorted by position:
index	d [Å]	intensity
0 1 2	4.076	29
1 0 4	2.915	100
1 1 0	2.850	97
0 2 4	2.038	41
1 1 6	1.840	21
0 1 8	1.696	15
2 1 4	1.658	41
3 0 0	1.645	26
2 2 0	1.425	13
4 -3 4	1.280	16

(5)
Starting from the GGA-PBE geometry in Alexandria, the powder diffractogram of La5Tb2Sm2 was simulated for CuKα.
Neutral-atom scattering factors, no anomalous dispersion.

Crystal structure
```
data_La5Tb2Sm2
_cell_length_a 3.6815
_cell_length_b 5.2145
_cell_length_c 16.8024
_cell_angle_alpha 98.89
_cell_angle_beta 96.21
_cell_angle_gamma 90.01
_symmetry_space_group_name_H-M 'P -1'
_symmetry_Int_Tables_number 2
loop_
_symmetry_equiv_pos_as_xyz
'x,y,z'
'-x,-y,-z'
loop_
_atom_site_label
_atom_site_type_symbol
_atom_site_fract_x
_atom_site_fract_y
_atom_site_fract_z
La1 La 0.0000 0.0000 0.0000
La2 La 0.2224 0.2225 0.4444
La3 La 0.4418 0.4424 0.8851
Tb1 Tb 0.3327 0.3336 0.6668
Sm1 Sm 0.1141 0.1128 0.2258
```

Principal peaks in the range 10 to 90 degrees two-theta, sorted by position:
index	d [Å]	intensity
1 1 -1	3.004	100
0 2 -1	2.604	34
1 0 -5	2.596	17
2 0 -1	1.840	30
0 0 9	1.833	6
1 3 -2	1.571	22
2 1 -6	1.567	14
1 1 -10	1.565	7
2 2 -2	1.504	6
3 1 -2	1.195	9

(6)
Starting from the GGA-PBE geometry in Alexandria, the powder diffractogram of Cs2KHgBr4 was simulated for CuKα.
Neutral-atom scattering factors, no anomalous dispersion.

Crystal structure
```
data_Cs2KHgBr4
_cell_length_a 6.6544
_cell_length_b 16.6302
_cell_length_c 27.1353
_cell_angle_alpha 90.00
_cell_angle_beta 90.00
_cell_angle_gamma 90.00
_symmetry_space_group_name_H-M 'F d d d'
_symmetry_Int_Tables_number 70
loop_
_symmetry_equiv_pos_as_xyz
'x,y,z'
'-x,-y,-z'
'-x+1/4,-y+1/4,z'
'x+1/4,y+1/4,-z'
'x,-y+1/4,-z+1/4'
'-x,y+1/4,z+1/4'
'-x+1/4,y,-z+1/4'
'x+1/4,-y,z+1/4'
'x,y+1/2,z+1/2'
'-x,-y+1/2,-z+1/2'
'-x+1/4,-y+3/4,z+1/2'
'x+1/4,y+3/4,-z+1/2'
'x,-y+3/4,-z+3/4'
'-x,y+3/4,z+3/4'
'-x+1/4,y+1/2,-z+3/4'
'x+1/4,-y+1/2,z+3/4'
'x+1/2,y,z+1/2'
'-x+1/2,-y,-z+1/2'
'-x+3/4,-y+1/4,z+1/2'
'x+3/4,y+1/4,-z+1/2'
'x+1/2,-y+1/4,-z+3/4'
'-x+1/2,y+1/4,z+3/4'
'-x+3/4,y,-z+3/4'
'x+3/4,-y,z+3/4'
'x+1/2,y+1/2,z'
'-x+1/2,-y+1/2,-z'
'-x+3/4,-y+3/4,z'
'x+3/4,y+3/4,-z'
'x+1/2,-y+3/4,-z+1/4'
'-x+1/2,y+3/4,z+1/4'
'-x+3/4,y+1/2,-z+1/4'
'x+3/4,-y+1/2,z+1/4'
loop_
_atom_site_label
_atom_site_type_symbol
_atom_site_fract_x
_atom_site_fract_y
_atom_site_fract_z
Cs1 Cs 0.1250 0.1250 0.3109
K1 K 0.1250 0.1250 0.1250
Hg1 Hg 0.1250 0.1250 0.6250
Br1 Br 0.1178 0.0036 0.4296
```

Principal peaks in the range 10 to 90 degrees two-theta, sorted by position:
index	d [Å]	intensity
0 0 4	6.784	47
1 1 3	5.102	22
0 2 6	3.973	63
1 3 3	3.853	100
2 2 0	3.089	45
1 3 7	2.867	22
1 5 3	2.826	51
2 0 6	2.680	40
0 6 6	2.362	28
2 0 10	2.103	29

(7)
Starting from the GGA-PBE geometry in Alexandria, the powder diffractogram of Na5B6C4 was simulated for CuKα.
Neutral-atom scattering factors, no anomalous dispersion.

Crystal structure
```
data_Na5B6C4
_cell_length_a 8.4924
_cell_length_b 2.8275
_cell_length_c 25.0082
_cell_angle_alpha 90.00
_cell_angle_beta 90.00
_cell_angle_gamma 90.00
_symmetry_space_group_name_H-M 'A m m 2'
_symmetry_Int_Tables_number 38
loop_
_symmetry_equiv_pos_as_xyz
'x,y,z'
'-x,-y,z'
'-x,y,z'
'x,-y,z'
'x,y+1/2,z+1/2'
'-x,-y+1/2,z+1/2'
'-x,y+1/2,z+1/2'
'x,-y+1/2,z+1/2'
loop_
_atom_site_label
_atom_site_type_symbol
_atom_site_fract_x
_atom_site_fract_y
_atom_site_fract_z
Na1 Na 0.2463 0.0000 0.0000
Na2 Na 0.2471 0.0000 0.4004
Na3 Na 0.2472 0.0000 0.8008
Na4 Na 0.2489 0.0000 0.2007
Na5 Na 0.2495 0.0000 0.6004
B1 B 0.0000 0.0000 0.0666
B2 B 0.0000 0.0000 0.2666
B3 B 0.0000 0.0000 0.4668
B4 B 0.0000 0.0000 0.6663
B5 B 0.0000 0.0000 0.8668
B6 B 0.5000 0.0000 0.0654
B7 B 0.5000 0.0000 0.1327
B8 B 0.5000 0.0000 0.3364
B9 B 0.5000 0.0000 0.5242
B10 B 0.5000 0.0000 0.6727
B11 B 0.5000 0.0000 0.7419
B12 B 0.5000 0.0000 0.9306
C1 C 0.0000 0.0000 0.1333
C2 C 0.0000 0.0000 0.3334
C3 C 0.0000 0.0000 0.5333
C4 C 0.0000 0.0000 0.7334
C5 C 0.0000 0.0000 0.9334
C6 C 0.5000 0.0000 0.2720
C7 C 0.5000 0.0000 0.4621
C8 C 0.5000 0.0000 0.8670
```

Principal peaks in the range 10 to 90 degrees two-theta, sorted by position:
index	d [Å]	intensity
0 0 10	2.501	10
0 1 5	2.461	17
2 0 10	2.155	50
2 1 5	2.129	100
4 0 0	2.123	39
4 1 5	1.608	10
0 1 15	1.436	17
6 1 5	1.227	13
4 1 15	1.190	17
2 2 10	1.182	11

(8)
Starting from the GGA-PBE geometry in Alexandria, the powder diffractogram of Ba2Ag3Pb was simulated for CuKα.
Neutral-atom scattering factors, no anomalous dispersion.

Crystal structure
```
data_Ba2Ag3Pb
_cell_length_a 9.2396
_cell_length_b 9.8806
_cell_length_c 17.2994
_cell_angle_alpha 90.00
_cell_angle_beta 90.00
_cell_angle_gamma 90.00
_symmetry_space_group_name_H-M 'F m m m'
_symmetry_Int_Tables_number 69
_symmetry_space_group_name_Hall '-F 2 2'
loop_
_atom_site_label
_atom_site_type_symbol
_atom_site_fract_x
_atom_site_fract_y
_atom_site_fract_z
Ba1 Ba 0.2427 0.0000 0.0000
Ba2 Ba 0.2500 0.2500 0.2500
Ag1 Ag 0.0000 0.0000 0.1640
Ag2 Ag 0.0000 0.2467 0.0812
Pb1 Pb 0.0000 0.0000 0.3343
```

Principal peaks in the range 10 to 90 degrees two-theta, sorted by position:
index	d [Å]	intensity
2 0 0	4.620	18
2 0 4	3.157	51
2 2 2	3.144	100
0 2 6	2.490	60
0 4 0	2.470	29
4 0 0	2.310	24
2 4 4	1.945	25
4 2 6	1.693	36
4 4 0	1.687	18
6 0 4	1.450	14